Record 1
# MgV2Cr2S8
Simulated PXRD pattern, Cu Kα, 1.54184 Å. Input: DFT lattice parameters and positions (GGA-PBE).

The 10 most intense peaks (5 to 70 degrees two-theta), sorted by position:
d/Å	I (rel.)
5.782	381
5.698	420
3.017	168
2.984	232
2.485	1000
1.910	104
1.907	120
1.778	135
1.757	489
1.740	111

Atomic structure:
```
MgV2Cr2S8
1.0
-3.480 3.557 4.963
3.480 -3.557 4.963
3.480 3.557 -4.963
Mg V Cr S
1 2 2 8
direct
0.000 0.000 0.000
0.605 0.389 0.783
0.605 0.822 0.217
0.133 0.375 0.759
0.616 0.375 0.241
0.373 0.618 0.755
0.375 0.134 0.759
0.375 0.616 0.241
0.414 0.134 0.281
0.853 0.134 0.719
0.854 0.131 0.277
0.854 0.577 0.723
0.863 0.618 0.245
```

---

Record 2
# Mg2CrW3S8
Simulated PXRD pattern, Cu Kα, 1.54184 Å. Input: DFT lattice parameters and positions (GGA-PBE).

The 10 most intense peaks (5 to 70 degrees two-theta), sorted by position:
d/Å	I (rel.)
6.285	1000
5.750	787
5.084	254
3.198	217
2.981	433
2.542	739
2.011	286
1.917	311
1.858	312
1.742	335

Atomic structure:
```
Mg2CrW3S8
1.0
6.035 -3.487 0.000
6.035 3.487 0.000
-4.025 0.000 6.285
Mg Cr W S
2 1 3 8
direct
0.000 0.000 0.000
0.749 0.749 0.246
0.342 0.342 0.025
0.392 0.801 0.584
0.393 0.393 0.584
0.801 0.392 0.584
0.106 0.106 0.794
0.106 0.584 0.793
0.132 0.132 0.396
0.152 0.581 0.312
0.581 0.152 0.312
0.581 0.581 0.314
0.584 0.106 0.793
0.619 0.619 0.855
```

---

Record 3
# YMgCrS4
Simulated PXRD pattern, Cu Kα, 1.54184 Å. Input: DFT lattice parameters and positions (GGA-PBE).

The 10 most intense peaks (5 to 70 degrees two-theta), sorted by position:
d/Å	I (rel.)
6.221	346
6.140	435
3.247	437
3.216	406
2.676	1000
2.069	145
2.056	245
1.913	151
1.892	614
1.876	165

Atomic structure:
```
YMgCrS4
1.0
-3.751 3.826 5.343
3.751 -3.826 5.343
3.751 3.826 -5.343
Y Mg Cr S
2 2 2 8
direct
0.000 0.000 0.000
0.500 0.000 0.500
0.374 0.624 0.750
0.626 0.376 0.250
0.000 0.000 0.500
0.000 0.500 0.000
0.211 0.746 0.466
0.220 0.254 0.966
0.229 0.229 0.500
0.229 0.729 0.000
0.771 0.271 0.000
0.771 0.771 0.500
0.780 0.746 0.034
0.789 0.254 0.534
```

---

Record 4
# Mg6CrSb
Simulated PXRD pattern, Cu Kα, 1.54184 Å. Input: DFT lattice parameters and positions (GGA-PBE).

The 10 most intense peaks (5 to 70 degrees two-theta), sorted by position:
d/Å	I (rel.)
5.484	630
3.716	283
3.694	242
2.742	297
2.667	252
2.526	390
2.410	1000
2.386	526
1.858	184
1.435	183

Atomic structure:
```
Mg6CrSb
1.0
5.053 0.000 0.000
0.000 3.180 5.415
0.000 -3.180 5.415
Mg Cr Sb
6 1 1
direct
0.000 0.000 0.000
0.000 0.503 0.991
0.000 0.991 0.503
0.500 0.334 0.828
0.500 0.828 0.334
0.500 0.834 0.834
0.000 0.499 0.499
0.500 0.339 0.339
```

---

Record 5
# Mg6CrSb
Simulated PXRD pattern, Cu Kα, 1.54184 Å. Input: DFT lattice parameters and positions (GGA-PBE).

The 10 most intense peaks (5 to 70 degrees two-theta), sorted by position:
d/Å	I (rel.)
5.439	363
5.398	182
5.164	323
3.740	486
2.699	326
2.582	401
2.406	517
2.392	1000
1.866	211
1.451	194

Atomic structure:
```
Mg6CrSb
1.0
5.164 0.000 0.000
0.000 3.109 5.439
0.000 -3.109 5.439
Mg Cr Sb
6 1 1
direct
0.000 0.000 0.000
0.000 0.005 0.489
0.000 0.489 0.005
0.000 0.495 0.495
0.500 0.332 0.830
0.500 0.830 0.332
0.500 0.331 0.331
0.500 0.832 0.832
```

---

Record 6
# MgCr2Se4
Simulated PXRD pattern, Cu Kα, 1.54184 Å. Input: DFT lattice parameters and positions (GGA-PBE).

The 10 most intense peaks (5 to 70 degrees two-theta), sorted by position:
d/Å	I (rel.)
6.214	417
3.245	159
3.107	519
2.691	1000
2.071	325
1.903	829
1.623	167
1.553	197
1.507	123
1.345	107

Atomic structure:
```
MgCr2Se4
1.0
0.000 5.381 5.381
5.381 0.000 5.381
5.381 5.381 0.000
Mg Cr Se
2 4 8
direct
0.125 0.125 0.125
0.875 0.875 0.875
0.000 0.500 0.500
0.500 0.000 0.500
0.500 0.500 0.000
0.500 0.500 0.500
0.263 0.263 0.263
0.263 0.263 0.711
0.263 0.711 0.263
0.289 0.737 0.737
0.711 0.263 0.263
0.737 0.289 0.737
0.737 0.737 0.289
0.737 0.737 0.737
```

---

Record 7
# Mg14CrSn
Simulated PXRD pattern, Cu Kα, 1.54184 Å. Input: DFT lattice parameters and positions (GGA-PBE).

The 10 most intense peaks (5 to 70 degrees two-theta), sorted by position:
d/Å	I (rel.)
10.387	545
5.473	206
4.841	317
3.767	179
2.725	272
2.597	406
2.425	511
2.413	1000
1.461	202
1.350	206

Atomic structure:
```
Mg14CrSn
1.0
10.387 0.000 0.000
0.000 3.141 5.483
0.000 -3.141 5.483
Mg Cr Sn
14 1 1
direct
0.000 0.000 0.000
0.000 0.000 0.500
0.000 0.500 0.000
0.000 0.500 0.500
0.249 0.167 0.167
0.252 0.170 0.664
0.252 0.664 0.170
0.252 0.665 0.665
0.500 0.500 0.999
0.500 0.999 0.500
0.748 0.170 0.664
0.748 0.664 0.170
0.748 0.665 0.665
0.751 0.167 0.167
0.500 0.502 0.502
0.500 0.000 0.000
```

---

Record 8
# Mg14CrSn
Simulated PXRD pattern, Cu Kα, 1.54184 Å. Input: DFT lattice parameters and positions (GGA-PBE).

The 10 most intense peaks (5 to 70 degrees two-theta), sorted by position:
d/Å	I (rel.)
5.458	273
4.834	109
3.768	220
2.729	269
2.604	270
2.417	1000
1.884	177
1.576	167
1.465	206
1.348	192

Atomic structure:
```
Mg14CrSn
1.0
6.302 0.000 0.000
-3.151 5.458 0.000
0.000 0.000 10.416
Mg Cr Sn
14 1 1
direct
0.000 0.000 0.249
0.000 0.000 0.751
0.003 0.501 0.245
0.003 0.501 0.755
0.333 0.166 0.500
0.333 0.167 0.000
0.499 0.501 0.245
0.499 0.501 0.755
0.499 0.997 0.245
0.499 0.997 0.755
0.833 0.167 0.000
0.833 0.667 0.000
0.834 0.166 0.500
0.834 0.667 0.500
0.333 0.667 0.000
0.333 0.667 0.500
```

---

Record 9
# SrMg14Cr
Simulated PXRD pattern, Cu Kα, 1.54184 Å. Input: DFT lattice parameters and positions (GGA-PBE).

The 10 most intense peaks (5 to 70 degrees two-theta), sorted by position:
d/Å	I (rel.)
10.474	285
2.809	275
2.619	387
2.490	529
2.476	1000
1.916	171
1.630	175
1.483	179
1.384	191
1.357	142

Atomic structure:
```
SrMg14Cr
1.0
10.474 0.000 0.000
0.000 3.236 5.661
0.000 -3.236 5.661
Sr Mg Cr
1 14 1
direct
0.000 0.000 0.000
0.000 0.010 0.494
0.000 0.494 0.010
0.239 0.661 0.661
0.258 0.172 0.653
0.258 0.653 0.172
0.264 0.168 0.168
0.500 0.499 0.499
0.500 0.500 0.996
0.500 0.996 0.500
0.500 0.998 0.998
0.736 0.168 0.168
0.742 0.172 0.653
0.742 0.653 0.172
0.761 0.661 0.661
0.000 0.495 0.495
```

---

Record 10
# SrMg6Cr
Simulated PXRD pattern, Cu Kα, 1.54184 Å. Input: DFT lattice parameters and positions (GGA-PBE).

The 10 most intense peaks (5 to 70 degrees two-theta), sorted by position:
d/Å	I (rel.)
5.797	401
3.875	366
2.897	250
2.602	365
2.539	493
2.531	1000
1.937	243
1.677	237
1.489	267
1.410	183

Atomic structure:
```
SrMg6Cr
1.0
5.203 0.000 0.000
0.000 3.341 5.817
0.000 -3.341 5.817
Sr Mg Cr
1 6 1
direct
0.000 0.000 0.000
0.000 0.509 0.509
0.000 0.514 0.991
0.000 0.991 0.514
0.500 0.338 0.338
0.500 0.362 0.831
0.500 0.831 0.362
0.500 0.823 0.823
```

---

Record 11
# SrMg6Cr
Simulated PXRD pattern, Cu Kα, 1.54184 Å. Input: DFT lattice parameters and positions (GGA-PBE).

The 10 most intense peaks (5 to 70 degrees two-theta), sorted by position:
d/Å	I (rel.)
5.802	232
5.257	194
3.892	275
2.879	304
2.628	367
2.540	513
2.525	1000
1.941	186
1.497	184
1.410	190

Atomic structure:
```
SrMg6Cr
1.0
5.257 0.000 0.000
0.000 3.316 5.802
0.000 -3.316 5.802
Sr Mg Cr
1 6 1
direct
0.000 0.000 0.000
0.000 0.007 0.497
0.000 0.497 0.007
0.500 0.174 0.174
0.500 0.184 0.646
0.500 0.646 0.184
0.500 0.662 0.662
0.000 0.498 0.498
```

---

Record 12
# SrMg14Cr
Simulated PXRD pattern, Cu Kα, 1.54184 Å. Input: DFT lattice parameters and positions (GGA-PBE).

The 10 most intense peaks (5 to 70 degrees two-theta), sorted by position:
d/Å	I (rel.)
5.625	163
3.825	145
2.812	263
2.608	248
2.476	1000
1.912	162
1.624	172
1.479	174
1.378	185
1.358	137

Atomic structure:
```
SrMg14Cr
1.0
6.495 0.000 0.000
-3.248 5.625 0.000
0.000 0.000 10.432
Sr Mg Cr
1 14 1
direct
0.000 0.000 0.000
0.008 0.504 0.000
0.168 0.337 0.264
0.168 0.337 0.736
0.168 0.832 0.264
0.168 0.832 0.736
0.496 0.504 0.000
0.496 0.992 0.000
0.500 0.001 0.500
0.500 0.500 0.500
0.663 0.832 0.264
0.663 0.832 0.736
0.667 0.333 0.244
0.667 0.333 0.756
0.999 0.500 0.500
0.000 0.000 0.500
```